Computed powder X-ray diffraction pattern of CdInRe2 for Cu Kα X-rays, from a crystal structure in Alexandria, relaxed with PBE.
Neutral-atom scattering factors, no anomalous dispersion.

Structural model:
a b c (Å): 2.9726 3.0476 16.8141
angles (deg): 90.00 90.00 90.00
Space group Amm2 (No. 38)
Inequivalent atoms, fractional coordinates:
1 Cd 0.0000 0.0000 0.0000 (multiplicity 2)
2 In 0.5000 0.0000 0.8383 (multiplicity 2)
3 Re 0.0000 0.0000 0.2130 (multiplicity 2)
4 Re 0.5000 0.0000 0.6270 (multiplicity 2)

Main lines, most intense first (2θ from 5° to 70°):
- 2θ 10.52, intensity 100
- 2θ 42.84, intensity 83
- 2θ 37.04, intensity 81
- 2θ 39.92, intensity 70
- 2θ 33.47, intensity 29
- 2θ 66.61, intensity 26
- 2θ 44.43, intensity 21
- 2θ 60.78, intensity 12
- 2θ 43.04, intensity 11
- 2θ 62.49, intensity 11